Calculated powder diffraction line list of Ag4TeSO4 for Cu Kα (weighted mean of Kα1 and Kα2), from the PBE geometry in the Materials Project.

Main lines, sorted by position (2θ = 10–90°):
- hkl 1 1 0, 2θ 14.0, d 6.345, intensity 98
- hkl 2 2 1, 2θ 29.9, d 2.991, intensity 93
- hkl 3 1 1, 2θ 33.1, d 2.705, intensity 100
- hkl 3 2 0, 2θ 36.1, d 2.489, intensity 57
- hkl 3 1 2, 2θ 37.5, d 2.398, intensity 53
- hkl 4 0 1, 2θ 41.5, d 2.176, intensity 38
- hkl 4 1 1, 2θ 42.8, d 2.115, intensity 24
- hkl 4 2 0, 2θ 45.2, d 2.006, intensity 44
- hkl 4 2 1, 2θ 46.4, d 1.958, intensity 30
- hkl 4 2 2, 2θ 49.8, d 1.832, intensity 27
- hkl 5 1 3, 2θ 61.1, d 1.517, intensity 25
- hkl 7 3 1, 2θ 82.6, d 1.168, intensity 24

Structure:
a = 8.9730 Å, b = 8.9730 Å, c = 8.9730 Å
α = 90.00°, β = 90.00°, γ = 90.00°
Fractional coordinates of all 40 atoms:
1 Ag 0.0000 0.0000 0.0000
2 Ag 0.0000 0.5000 0.5000
3 Ag 0.0095 0.1126 0.2946
4 Ag 0.1126 0.2946 0.0095
5 Ag 0.2054 0.9905 0.6126
6 Ag 0.2946 0.0095 0.1126
7 Ag 0.3874 0.7054 0.5095
8 Ag 0.4905 0.8874 0.7946
9 Ag 0.5000 0.0000 0.5000
10 Ag 0.5000 0.5000 0.0000
11 Ag 0.5095 0.3874 0.7054
12 Ag 0.6126 0.2054 0.9905
13 Ag 0.7054 0.5095 0.3874
14 Ag 0.7946 0.4905 0.8874
15 Ag 0.8874 0.7946 0.4905
16 Ag 0.9905 0.6126 0.2054
17 Te 0.1559 0.8441 0.3441
18 Te 0.3441 0.1559 0.8441
19 Te 0.6559 0.6559 0.6559
20 Te 0.8441 0.3441 0.1559
21 S 0.1432 0.6432 0.8568
22 S 0.3568 0.3568 0.3568
23 S 0.6432 0.8568 0.1432
24 S 0.8568 0.1432 0.6432
25 O 0.0248 0.5697 0.7636
26 O 0.0697 0.7364 0.9752
27 O 0.2364 0.5248 0.9303
28 O 0.2388 0.7388 0.7612
29 O 0.2612 0.2612 0.2612
30 O 0.2636 0.4752 0.4303
31 O 0.4303 0.2636 0.4752
32 O 0.4752 0.4303 0.2636
33 O 0.5248 0.9303 0.2364
34 O 0.5697 0.7636 0.0248
35 O 0.7364 0.9752 0.0697
36 O 0.7388 0.7612 0.2388
37 O 0.7612 0.2388 0.7388
38 O 0.7636 0.0248 0.5697
39 O 0.9303 0.2364 0.5248
40 O 0.9752 0.0697 0.7364